Theoretical powder diffractogram
Compound: Al17N3O21
Radiation: Cu Kα (weighted mean of Kα1 and Kα2)
Structure: the PBE geometry in the Materials Project
Intensities are scaled so that the largest is 100.

Principal peaks in the range 10 to 80 degrees two-theta, low angle first:
index  2theta  intensity
1 2 3  31.74  40
0 3 0  37.13  100
-1 1 3  37.36  42
2 0 4  45.36  65
4 0 2  65.42  50
0 0 6  66.39  46

Atomic structure:
abc: 5.707 7.998 9.730
angles: 66.23 73.02 89.59
Space group P1 (No. 1)
Symmetry-distinct sites (fractional):
1 Al 0.000 0.000 0.000 [1 per cell]
2 Al 0.002 0.997 0.506 [1 per cell]
3 Al 0.083 0.700 0.833 [1 per cell]
4 Al 0.170 0.170 0.671 [1 per cell]
5 Al 0.180 0.657 0.164 [1 per cell]
6 Al 0.264 0.626 0.509 [1 per cell]
7 Al 0.337 0.337 0.848 [1 per cell]
8 Al 0.350 0.330 0.331 [1 per cell]
9 Al 0.418 0.034 0.167 [1 per cell]
10 Al 0.502 0.996 0.507 [1 per cell]
11 Al 0.596 0.965 0.842 [1 per cell]
12 Al 0.653 0.662 0.682 [1 per cell]
13 Al 0.668 0.659 0.163 [1 per cell]
14 Al 0.743 0.368 0.504 [1 per cell]
15 Al 0.825 0.329 0.846 [1 per cell]
16 Al 0.828 0.824 0.344 [1 per cell]
17 Al 0.922 0.294 0.178 [1 per cell]
18 N 0.481 0.235 0.507 [1 per cell]
19 N 0.524 0.759 0.506 [1 per cell]
20 N 0.863 0.095 0.836 [1 per cell]
21 O 0.000 0.744 0.014 [1 per cell]
22 O 0.010 0.249 0.002 [1 per cell]
23 O 0.013 0.239 0.503 [1 per cell]
24 O 0.145 0.905 0.172 [1 per cell]
25 O 0.166 0.416 0.190 [1 per cell]
26 O 0.169 0.404 0.683 [1 per cell]
27 O 0.169 0.924 0.662 [1 per cell]
28 O 0.321 0.088 0.844 [1 per cell]
29 O 0.327 0.082 0.342 [1 per cell]
30 O 0.339 0.575 0.831 [1 per cell]
31 O 0.342 0.583 0.326 [1 per cell]
32 O 0.494 0.757 0.020 [1 per cell]
33 O 0.505 0.241 0.995 [1 per cell]
34 O 0.663 0.417 0.683 [1 per cell]
35 O 0.667 0.420 0.182 [1 per cell]
36 O 0.680 0.911 0.667 [1 per cell]
37 O 0.689 0.906 0.172 [1 per cell]
38 O 0.841 0.068 0.347 [1 per cell]
39 O 0.841 0.576 0.821 [1 per cell]
40 O 0.846 0.596 0.326 [1 per cell]
41 O 0.999 0.760 0.500 [1 per cell]

=====

Theoretical powder diffractogram
Compound: MgAg3As2O8
Radiation: Cu Kα (weighted mean of Kα1 and Kα2)
Structure: the PBE geometry in the Materials Project
Intensities are scaled so that the largest is 100.

Principal peaks in the range 10 to 80 degrees two-theta, low angle first:
index  2theta  intensity
0 1 0  15.47  79
1 0 -1  20.69  80
1 -1 0  22.40  99
1 1 1  24.63  91
1 0 -2  31.32  69
1 -1 2  35.55  100

Atomic structure:
abc: 5.714 5.750 6.712
angles: 86.41 88.45 87.67
Space group P1 (No. 1)
Symmetry-distinct sites (fractional):
1 Mg 0.000 0.000 0.000 [1 per cell]
2 Ag 0.061 0.036 0.495 [1 per cell]
3 Ag 0.508 0.315 0.703 [1 per cell]
4 Ag 0.756 0.518 0.203 [1 per cell]
5 As 0.025 0.533 0.714 [1 per cell]
6 As 0.525 0.050 0.192 [1 per cell]
7 O 0.150 0.288 0.848 [1 per cell]
8 O 0.240 0.675 0.582 [1 per cell]
9 O 0.317 0.888 0.097 [1 per cell]
10 O 0.407 0.223 0.370 [1 per cell]
11 O 0.680 0.219 0.004 [1 per cell]
12 O 0.782 0.894 0.267 [1 per cell]
13 O 0.839 0.402 0.553 [1 per cell]
14 O 0.880 0.721 0.869 [1 per cell]

=====

Theoretical powder diffractogram
Compound: Er5Re2C7
Radiation: Cu Kα (weighted mean of Kα1 and Kα2)
Structure: the PBE geometry in the Materials Project
Intensities are scaled so that the largest is 100.

Principal peaks in the range 10 to 80 degrees two-theta, low angle first:
index  2theta  intensity
2 4 0  33.44  81
3 1 0  34.33  34
2 0 1  34.68  98
0 4 1  36.23  100
3 5 1  54.05  33
2 4 2  64.94  38

Atomic structure:
abc: 7.968 14.486 3.401
angles: 90.00 90.00 90.00
Space group Cmmm (No. 65)
Symmetry-distinct sites (fractional):
1 Er 0.000 0.000 0.000 [2 per cell]
2 Er 0.206 0.371 0.500 [8 per cell]
3 Re 0.000 0.214 0.000 [4 per cell]
4 C 0.000 0.125 0.500 [4 per cell]
5 C 0.000 0.500 0.000 [2 per cell]
6 C 0.170 0.500 0.000 [4 per cell]
7 C 0.250 0.250 0.000 [4 per cell]

=====

Theoretical powder diffractogram
Compound: Ti2Co12P7
Radiation: Cu Kα (weighted mean of Kα1 and Kα2)
Structure: the PBE geometry in the Materials Project
Intensities are scaled so that the largest is 100.

Principal peaks in the range 10 to 80 degrees two-theta, low angle first:
index  2theta  intensity
1 2 1  40.36  100
3 1 1  50.13  22
2 3 0  51.91  12
0 0 2  52.21  20
4 1 0  54.79  20
4 1 2  79.09  13

Atomic structure:
abc: 8.8658 8.8658 3.5038
angles: 90.00 90.00 120.00
Space group P-6 (No. 174)
Symmetry-distinct sites (fractional):
1 Ti 0.0000 0.0000 0.0000 [1 per cell]
2 Ti 0.3333 0.6667 0.5000 [1 per cell]
3 Co 0.0538 0.7735 0.5000 [3 per cell]
4 Co 0.1056 0.3977 0.0000 [3 per cell]
5 Co 0.3877 0.2161 0.0000 [3 per cell]
6 Co 0.5355 0.1082 0.5000 [3 per cell]
7 P 0.0810 0.6253 0.0000 [3 per cell]
8 P 0.2558 0.0448 0.5000 [3 per cell]
9 P 0.6667 0.3333 0.0000 [1 per cell]

=====

Theoretical powder diffractogram
Compound: Ba2TbTaO6
Radiation: Cu Kα (weighted mean of Kα1 and Kα2)
Structure: the PBE geometry in the Materials Project
Intensities are scaled so that the largest is 100.

Principal peaks in the range 10 to 80 degrees two-theta, low angle first:
index  2theta  intensity
1 1 2  29.55  100
2 0 0  29.65  51
2 2 0  42.43  27
2 0 4  52.36  21
1 3 2  52.55  42
4 2 0  69.77  18

Atomic structure:
abc: 6.026 6.026 8.580
angles: 90.00 90.00 90.00
Space group I4/m (No. 87)
Symmetry-distinct sites (fractional):
1 Ba 0.000 0.500 0.250 [4 per cell]
2 Tb 0.000 0.000 0.000 [2 per cell]
3 Ta 0.000 0.000 0.500 [2 per cell]
4 O 0.000 0.000 0.265 [4 per cell]
5 O 0.204 0.265 0.500 [8 per cell]

=====

Theoretical powder diffractogram
Compound: K2YHgCl6
Radiation: Cu Kα (weighted mean of Kα1 and Kα2)
Structure: the PBE geometry in the Materials Project
Intensities are scaled so that the largest is 100.

Principal peaks in the range 10 to 80 degrees two-theta, low angle first:
index  2theta  intensity
2 0 0  15.96  100
2 2 0  22.64  100
4 0 0  32.23  78
4 2 0  36.16  52
4 2 2  39.75  46
4 4 0  46.23  53

Atomic structure:
abc: 11.109 11.109 11.109
angles: 90.00 90.00 90.00
Space group Fm-3m (No. 225)
Symmetry-distinct sites (fractional):
1 K 0.250 0.250 0.250 [8 per cell]
2 Y 0.000 0.000 0.000 [4 per cell]
3 Hg 0.000 0.000 0.500 [4 per cell]
4 Cl 0.000 0.000 0.237 [24 per cell]

=====

Theoretical powder diffractogram
Compound: MgAlCu
Radiation: Cu Kα (weighted mean of Kα1 and Kα2)
Structure: the PBE geometry in the Materials Project
Intensities are scaled so that the largest is 100.

Principal peaks in the range 10 to 80 degrees two-theta, low angle first:
index  2theta  intensity
1 0 1  19.66  59
1 1 0  34.13  24
1 1 9  40.69  100
0 2 4  40.83  29
2 0 5  41.51  43
2 0 8  44.32  29

Atomic structure:
abc: 5.2538 5.2538 37.2088
angles: 90.00 90.00 120.00
Space group R-3m (No. 166, hexagonal axes)
Symmetry-distinct sites (fractional):
1 Mg 0.0000 0.0000 0.0382 [6 per cell]
2 Mg 0.0000 0.0000 0.1809 [6 per cell]
3 Mg 0.0000 0.0000 0.2690 [6 per cell]
4 Al 0.0009 0.5005 0.7770 [18 per cell]
5 Cu 0.0000 0.0000 0.3884 [6 per cell]
6 Cu 0.0000 0.0000 0.5000 [3 per cell]
7 Cu 0.0000 0.5000 0.0000 [9 per cell]

=====

Theoretical powder diffractogram
Compound: SiW3
Radiation: Cu Kα (weighted mean of Kα1 and Kα2)
Structure: the PBE geometry in the Materials Project
Intensities are scaled so that the largest is 100.

Principal peaks in the range 10 to 80 degrees two-theta, low angle first:
index  2theta  intensity
1 1 0  24.15  34
2 0 0  34.41  100
2 1 1  42.48  16
2 2 0  49.46  73
2 2 2  61.64  25
4 0 0  72.54  12

Atomic structure:
abc: 5.212 5.212 5.212
angles: 90.00 90.00 90.00
Space group Im-3m (No. 229)
Symmetry-distinct sites (fractional):
1 Si 0.000 0.000 0.000 [2 per cell]
2 W 0.000 0.000 0.500 [6 per cell]